This entry pairs a crystal structure of Sr2Ga4Cu3Ag with its computed XRD peak list. Radiation: Cu Kα. Structure: DFT lattice parameters and positions (GGA-PBE).
Lines closer than 0.1° are merged.

Crystal structure
Cell lengths 4.3466, 4.3466, 10.6341 Å; angles 90.00, 90.00, 90.00 degrees
Atoms (fractional coordinates):
Sr (0.0000, 0.5000, 0.2446)
Sr (0.5000, 0.0000, 0.7554)
Ga (0.0000, 0.0000, 0.0000)
Ga (0.0000, 0.5000, 0.6360)
Ga (0.5000, 0.0000, 0.3640)
Ga (0.5000, 0.5000, 0.0000)
Cu (0.0000, 0.5000, 0.8740)
Cu (0.5000, 0.0000, 0.1260)
Cu (0.5000, 0.5000, 0.5000)
Ag (0.0000, 0.0000, 0.5000)

Most intense lines, 15 to 90 degrees two-theta, in order of rising 2θ:
h k l, Position (°2θ), I (rel.)
1 0 3, 32.6, 47
1 1 2, 33.7, 100
2 0 0, 41.6, 60
1 1 4, 45.1, 31
2 2 0, 60.2, 31
0 0 8, 70.8, 28

This entry pairs a crystal structure of Y2Ga4Cu3Ag with its computed XRD peak list. Radiation: Cu Kα. Structure: DFT lattice parameters and positions (GGA-PBE).
Lines closer than 0.1° are merged.

Crystal structure
Cell lengths 4.1544, 4.1544, 10.4040 Å; angles 90.00, 90.00, 90.00 degrees
Atoms (fractional coordinates):
Y (0.0000, 0.5000, 0.2423)
Y (0.5000, 0.0000, 0.7577)
Ga (0.0000, 0.0000, 0.0000)
Ga (0.0000, 0.5000, 0.6446)
Ga (0.5000, 0.0000, 0.3554)
Ga (0.5000, 0.5000, 0.0000)
Cu (0.0000, 0.5000, 0.8716)
Cu (0.5000, 0.0000, 0.1284)
Cu (0.5000, 0.5000, 0.5000)
Ag (0.0000, 0.0000, 0.5000)

Most intense lines, 15 to 90 degrees two-theta, in order of rising 2θ:
h k l, Position (°2θ), I (rel.)
1 0 3, 33.7, 41
1 1 2, 35.1, 100
2 0 0, 43.6, 56
1 1 4, 46.6, 25
1 0 5, 49.0, 23
3 1 2, 74.5, 20

This entry pairs a crystal structure of GdInCuAg with its computed XRD peak list. Radiation: Cu Kα. Structure: DFT lattice parameters and positions (GGA-PBE).
Lines closer than 0.1° are merged.

Crystal structure
Cell lengths 6.8972, 6.8972, 6.8972 Å; angles 90.00, 90.00, 90.00 degrees
Atoms (fractional coordinates):
Gd (0.0000, 0.0000, 0.0000)
Gd (0.0000, 0.5000, 0.5000)
Gd (0.5000, 0.0000, 0.5000)
Gd (0.5000, 0.5000, 0.0000)
In (0.0000, 0.0000, 0.5000)
In (0.0000, 0.5000, 0.0000)
In (0.5000, 0.0000, 0.0000)
In (0.5000, 0.5000, 0.5000)
Cu (0.2500, 0.2500, 0.7500)
Cu (0.2500, 0.7500, 0.2500)
Cu (0.7500, 0.2500, 0.2500)
Cu (0.7500, 0.7500, 0.7500)
Ag (0.2500, 0.2500, 0.2500)
Ag (0.2500, 0.7500, 0.7500)
Ag (0.7500, 0.2500, 0.7500)
Ag (0.7500, 0.7500, 0.2500)

Most intense lines, 15 to 90 degrees two-theta, in order of rising 2θ:
h k l, Position (°2θ), I (rel.)
2 0 0, 25.8, 5
2 2 0, 36.9, 100
4 0 0, 53.1, 17
4 2 2, 66.4, 34
4 4 0, 78.4, 10
6 2 0, 90.0, 15